Calculated powder X-ray diffraction pattern of GaPtI7 for a wavelength of 1.5418 Å, from a crystal structure in OQMD, relaxed with GGA-PBE.
Kinematic intensities with the Lorentz-polarization factor, no thermal factor.

Largest 10 diffraction maxima, by intensity, 2θ = 10–90°:
(hkl), 2θ (°), d [Å], I (rel.)
1 0 -2, 14.6, 6.086, 1000
1 1 3, 26.9, 3.316, 814
0 0 2, 11.3, 7.810, 649
2 1 -1, 27.4, 3.252, 613
1 1 2, 22.8, 3.898, 546
1 1 -5, 30.9, 2.893, 507
1 2 -3, 31.5, 2.838, 464
0 1 1, 13.8, 6.400, 458
2 2 -1, 35.4, 2.536, 457
0 1 2, 17.0, 5.220, 442

Crystal structure
abc: 7.342 7.017 16.160
angles: 90.00 104.86 90.00
Space group Pc (No. 7)
Symmetry-distinct sites (fractional):
Ga 0.000 0.007 0.000 [2 per cell]
Pt 0.735 0.382 0.359 [2 per cell]
I 0.021 0.370 0.008 [2 per cell]
I 0.038 0.158 0.358 [2 per cell]
I 0.236 0.145 0.631 [2 per cell]
I 0.450 0.399 0.868 [2 per cell]
I 0.498 0.171 0.238 [2 per cell]
I 0.672 0.161 0.489 [2 per cell]
I 0.809 0.407 0.737 [2 per cell]